Calculated PXRD pattern
Compound: Li2FePCO7
Radiation: Cu Kα, 1.54184 Å
Structure: a cell relaxed with PBE+U
No peak broadening, texture or thermal motion is included.

Most intense lines, 10 to 80 degrees two-theta, low angle first:
2theta  intensity
10.6  84
17.3  37
19.6  50
21.3  70
25.4  26
26.4  35
27.4  100
35.4  22
36.0  23
40.9  22

Structural model:
```
Li2FePCO7
1.0
9.3737 0.0000 0.0000
0.0000 6.4990 0.0000
-4.7137 0.0000 9.0429
Li Fe P C O
8 4 4 4 28
Direct
0.0988 0.2442 0.1845
0.0988 0.2558 0.6845
0.2792 0.0368 0.5161
0.2792 0.4632 0.0161
0.7208 0.5368 0.9839
0.7208 0.9632 0.4839
0.9012 0.7442 0.3155
0.9012 0.7558 0.8155
0.3293 0.7456 0.3143
0.3293 0.7544 0.8143
0.6707 0.2456 0.1857
0.6707 0.2544 0.6857
0.4185 0.2475 0.3222
0.4185 0.2525 0.8222
0.5815 0.7475 0.1778
0.5815 0.7525 0.6778
0.0423 0.7364 0.1177
0.0423 0.7636 0.6177
0.9577 0.2364 0.3823
0.9577 0.2636 0.8823
0.0749 0.7468 0.2582
0.0749 0.7532 0.7582
0.1011 0.2138 0.4889
0.1011 0.2862 0.9889
0.1692 0.7359 0.0952
0.1692 0.7641 0.5952
0.2990 0.0674 0.3009
0.2990 0.4326 0.8009
0.3213 0.0594 0.8195
0.3213 0.4406 0.3195
0.4221 0.7152 0.0311
0.4221 0.7848 0.5311
0.4630 0.2333 0.6930
0.4630 0.2667 0.1930
0.5370 0.7333 0.8070
0.5370 0.7667 0.3070
0.5779 0.2152 0.4689
0.5779 0.2848 0.9689
0.6787 0.5594 0.6805
0.6787 0.9406 0.1805
0.7010 0.5674 0.1991
0.7010 0.9326 0.6991
0.8308 0.2359 0.4048
0.8308 0.2641 0.9048
0.8989 0.7138 0.0111
0.8989 0.7862 0.5111
0.9251 0.2468 0.2418
0.9251 0.2532 0.7418
```


Calculated PXRD pattern
Compound: CdNiP4O12
Radiation: Cu Kα, 1.54184 Å
Structure: a cell relaxed with PBE+U
No peak broadening, texture or thermal motion is included.

Most intense lines, 10 to 80 degrees two-theta, low angle first:
2theta  intensity
13.1  22
14.0  55
20.4  61
25.7  40
27.0  42
28.7  100
30.6  21
33.4  26
36.5  27
41.6  26

Structural model:
```
CdNiP4O12
1.0
6.0622 -4.3337 0.0000
6.0622 4.3337 0.0000
-4.7121 0.0000 8.9062
Cd Ni P O
2 2 8 24
Direct
0.0499 0.9501 0.7500
0.9501 0.0499 0.2500
0.0000 0.5000 0.5000
0.5000 0.0000 0.0000
0.2676 0.7194 0.0250
0.2806 0.7324 0.4750
0.3052 0.3128 0.8039
0.3128 0.3052 0.3039
0.6872 0.6948 0.6961
0.6948 0.6872 0.1961
0.7194 0.2676 0.5250
0.7324 0.2806 0.9750
0.0931 0.8244 0.0812
0.1275 0.2993 0.3309
0.1756 0.9069 0.4188
0.1906 0.3465 0.6557
0.1977 0.6869 0.5731
0.2382 0.4959 0.9372
0.2993 0.1275 0.8309
0.3112 0.5352 0.3372
0.3131 0.8023 0.9269
0.3465 0.1906 0.1557
0.4648 0.6888 0.1628
0.4959 0.2382 0.4372
0.5041 0.7618 0.5628
0.5352 0.3112 0.8372
0.6535 0.8094 0.8443
0.6869 0.1977 0.0731
0.6888 0.4648 0.6628
0.7007 0.8725 0.1691
0.7618 0.5041 0.0628
0.8023 0.3131 0.4269
0.8094 0.6535 0.3443
0.8244 0.0931 0.5812
0.8725 0.7007 0.6691
0.9069 0.1756 0.9188
```


Calculated PXRD pattern
Compound: Na4WN2O2
Radiation: Cu Kα, 1.54184 Å
Structure: a cell relaxed with PBE+U
No peak broadening, texture or thermal motion is included.

Most intense lines, 10 to 80 degrees two-theta, low angle first:
2theta  intensity
16.8  49
18.9  100
19.0  46
20.7  31
22.2  34
24.0  32
31.8  27
32.3  34
37.0  28
37.4  26

Structural model:
```
Na4WN2O2
1.0
5.9195 0.0000 0.0000
2.0617 5.5853 0.0000
2.8854 0.0533 8.5939
Na W N O
8 2 4 4
Direct
0.0207 0.2566 0.4488
0.1138 0.7218 0.1876
0.2589 0.2363 0.0154
0.4447 0.2418 0.5937
0.5553 0.7582 0.4063
0.7411 0.7637 0.9846
0.8862 0.2782 0.8124
0.9793 0.7434 0.5512
0.3415 0.7185 0.7649
0.6585 0.2815 0.2351
0.2016 0.9621 0.6414
0.3404 0.4576 0.3540
0.6596 0.5424 0.6460
0.7984 0.0379 0.3586
0.1419 0.5121 0.8185
0.3507 0.8414 0.9474
0.6493 0.1586 0.0526
0.8581 0.4879 0.1815
```


Calculated PXRD pattern
Compound: SrMgVP2O8
Radiation: Cu Kα, 1.54184 Å
Structure: a cell relaxed with PBE+U
No peak broadening, texture or thermal motion is included.

Most intense lines, 10 to 80 degrees two-theta, low angle first:
2theta  intensity
22.4  20
27.5  100
29.3  21
30.2  49
31.5  36
32.6  32
33.4  44
38.8  17
42.1  20
46.0  18

Structural model:
```
SrMgVP2O8
1.0
5.5620 0.0000 0.0000
-0.9762 6.9372 0.0000
-1.8314 -3.7307 8.5253
Sr Mg V P O
2 2 2 4 16
Direct
0.2484 0.3010 0.0479
0.7516 0.6990 0.9521
0.0104 0.1173 0.3471
0.9896 0.8827 0.6529
0.3572 0.6481 0.4384
0.6428 0.3519 0.5616
0.1591 0.4760 0.6977
0.3919 0.9239 0.2341
0.6081 0.0761 0.7659
0.8409 0.5240 0.3023
0.0040 0.2511 0.5747
0.0374 0.3800 0.3010
0.1833 0.9506 0.1116
0.2591 0.4926 0.8638
0.3328 0.6992 0.2286
0.3402 0.0259 0.7882
0.3683 0.0842 0.3946
0.3781 0.5473 0.6341
0.6219 0.4527 0.3659
0.6317 0.9158 0.6054
0.6598 0.9741 0.2118
0.6672 0.3008 0.7714
0.7409 0.5074 0.1362
0.8167 0.0494 0.8884
0.9626 0.6200 0.6990
0.9960 0.7489 0.4253
```


Calculated PXRD pattern
Compound: Dy3VH3O8
Radiation: Cu Kα, 1.54184 Å
Structure: a cell relaxed with PBE+U
No peak broadening, texture or thermal motion is included.

Most intense lines, 10 to 80 degrees two-theta, low angle first:
2theta  intensity
18.5  36
23.7  20
25.7  64
29.9  29
30.8  100
34.3  21
35.3  19
46.5  18
48.5  21
54.0  24

Structural model:
```
Dy3VH3O8
1.0
5.6001 0.0000 0.0000
0.0000 10.4701 0.0000
-1.6566 0.0000 5.7980
Dy V H O
6 2 6 16
Direct
0.1769 0.0000 0.3058
0.1782 0.5708 0.2986
0.2758 0.7839 0.7800
0.7242 0.2839 0.2200
0.8218 0.0708 0.7014
0.8231 0.5000 0.6942
0.3097 0.2854 0.5433
0.6903 0.7854 0.4567
0.2683 0.7882 0.1654
0.3418 0.4955 0.9008
0.3448 0.0688 0.9078
0.6552 0.5688 0.0922
0.6582 0.9955 0.0992
0.7317 0.2882 0.8346
0.0366 0.1650 0.4661
0.0378 0.4057 0.4603
0.0843 0.7844 0.1187
0.2276 0.0075 0.9409
0.2317 0.5608 0.9346
0.4408 0.2862 0.8389
0.4954 0.1592 0.4114
0.4977 0.4100 0.4083
0.5023 0.9100 0.5917
0.5046 0.6592 0.5886
0.5592 0.7862 0.1611
0.7683 0.0608 0.0654
0.7724 0.5075 0.0591
0.9157 0.2844 0.8813
0.9622 0.9057 0.5397
0.9634 0.6650 0.5339
```


Calculated PXRD pattern
Compound: Na2FeO3
Radiation: Cu Kα, 1.54184 Å
Structure: a cell relaxed with PBE+U
No peak broadening, texture or thermal motion is included.

Most intense lines, 10 to 80 degrees two-theta, low angle first:
2theta  intensity
17.4  29
18.5  78
24.7  13
33.1  22
33.4  31
35.3  16
38.1  100
41.4  46
56.0  35
59.0  23

Structural model:
```
Na2FeO3
1.0
2.8212 -5.1017 0.0000
2.8212 5.1017 0.0000
-1.4736 0.0000 5.0832
Na Fe O
4 2 6
Direct
0.0926 0.9074 0.5000
0.2505 0.7561 0.9899
0.7561 0.2505 0.4899
0.9074 0.0926 0.0000
0.4118 0.5368 0.4747
0.5368 0.4118 0.9747
0.1206 0.5402 0.3192
0.2124 0.3586 0.7223
0.3586 0.2124 0.2223
0.5402 0.1206 0.8192
0.6430 0.7397 0.2460
0.7397 0.6430 0.7460
```